Diffraction record for Li2HgTeSe. The powder X-ray diffraction pattern is theoretical, not measured: it uses a structure optimized by DFT (GGA-PBE) and Cu Kα (λ = 1.5418 Å).
Neutral-atom scattering factors, no anomalous dispersion.

a b c (Å): 4.355 4.355 6.523
angles (deg): 90.00 90.00 90.00
Fractional coordinates of all 5 atoms:
Li1 0.000 0.500 0.000
Li2 0.500 0.000 0.000
Hg1 0.000 0.000 0.572
Te1 0.500 0.500 0.688
Se1 0.000 0.000 0.169

Principal peaks in the range 10 to 90 degrees two-theta, in order of falling intensity:
two_theta, I/Imax
28.99, 100
13.57, 89
32.14, 56
40.27, 53
46.68, 50
41.47, 45
34.35, 40
27.34, 37
20.39, 36
24.58, 35

---

Diffraction record for LiTlHgSe2. The powder X-ray diffraction pattern is theoretical, not measured: it uses a structure optimized by DFT (GGA-PBE) and Cu Kα (λ = 1.5418 Å).
Neutral-atom scattering factors, no anomalous dispersion.

a b c (Å): 7.318 7.318 10.640
angles (deg): 122.79 122.79 34.67
Fractional coordinates of all 10 atoms:
Li1 0.134 0.134 0.421
Li2 0.866 0.866 0.579
Tl1 0.340 0.340 0.844
Tl2 0.660 0.660 0.156
Hg1 0.425 0.425 0.277
Hg2 0.575 0.575 0.723
Se1 0.057 0.057 0.854
Se2 0.325 0.325 0.426
Se3 0.675 0.675 0.574
Se4 0.943 0.943 0.146

Principal peaks in the range 10 to 90 degrees two-theta, in order of falling intensity:
two_theta, I/Imax
33.10, 100
32.88, 90
21.80, 74
26.57, 54
31.06, 53
41.41, 44
20.27, 40
31.93, 29
28.65, 23
28.20, 23

---

Diffraction record for LiSi2Hg2. The powder X-ray diffraction pattern is theoretical, not measured: it uses a structure optimized by DFT (GGA-PBE) and Cu Kα (λ = 1.5418 Å).
Neutral-atom scattering factors, no anomalous dispersion.

a b c (Å): 3.444 3.444 16.897
angles (deg): 90.00 90.00 90.00
Fractional coordinates of all 10 atoms:
Li1 0.000 0.000 0.000
Li2 0.500 0.500 0.500
Si1 0.000 0.500 0.250
Si2 0.000 0.500 0.750
Si3 0.500 0.000 0.250
Si4 0.500 0.000 0.750
Hg1 0.000 0.000 0.401
Hg2 0.000 0.000 0.599
Hg3 0.500 0.500 0.099
Hg4 0.500 0.500 0.901

Principal peaks in the range 10 to 90 degrees two-theta, in order of falling intensity:
two_theta, I/Imax
26.41, 100
37.28, 66
42.86, 39
66.72, 33
21.03, 26
36.91, 25
31.78, 23
60.34, 21
53.18, 16
67.46, 15

---

Diffraction record for Li2SiHgTe4. The powder X-ray diffraction pattern is theoretical, not measured: it uses a structure optimized by DFT (GGA-PBE) and Cu Kα (λ = 1.5418 Å).
Neutral-atom scattering factors, no anomalous dispersion.

a b c (Å): 8.359 8.359 7.920
angles (deg): 118.24 118.24 91.22
Fractional coordinates of all 16 atoms:
Li1 0.000 0.000 0.000
Li2 0.000 0.000 0.500
Li3 0.000 0.500 0.000
Li4 0.500 0.000 0.500
Si1 0.500 0.500 0.000
Si2 0.500 0.500 0.500
Hg1 0.000 0.500 0.500
Hg2 0.500 0.000 0.000
Te1 0.255 0.284 0.020
Te2 0.263 0.735 0.493
Te3 0.265 0.737 0.007
Te4 0.284 0.255 0.520
Te5 0.716 0.745 0.480
Te6 0.735 0.263 0.993
Te7 0.737 0.265 0.507
Te8 0.745 0.716 0.980

Principal peaks in the range 10 to 90 degrees two-theta, in order of falling intensity:
two_theta, I/Imax
30.67, 100
43.37, 71
29.92, 50
13.41, 33
32.65, 23
24.68, 21
25.03, 20
41.96, 20
52.38, 19
25.50, 18

---

Diffraction record for LiSm5Hg8. The powder X-ray diffraction pattern is theoretical, not measured: it uses a structure optimized by DFT (GGA-PBE) and Cu Kα (λ = 1.5418 Å).
Neutral-atom scattering factors, no anomalous dispersion.

a b c (Å): 7.843 7.843 7.843
angles (deg): 109.40 109.40 109.61
Fractional coordinates of all 14 atoms:
Li1 0.000 0.000 0.000
Sm1 0.150 0.281 0.641
Sm2 0.250 0.750 0.500
Sm3 0.491 0.850 0.132
Sm4 0.640 0.509 0.359
Sm5 0.719 0.360 0.868
Hg1 0.025 0.639 0.772
Hg2 0.181 0.421 0.080
Hg3 0.342 0.101 0.920
Hg4 0.361 0.133 0.385
Hg5 0.579 0.658 0.760
Hg6 0.748 0.975 0.615
Hg7 0.867 0.252 0.228
Hg8 0.899 0.819 0.240

Principal peaks in the range 10 to 90 degrees two-theta, in order of falling intensity:
two_theta, I/Imax
31.23, 100
37.15, 98
51.44, 23
49.28, 22
24.07, 21
63.26, 21
66.94, 13
63.38, 10
44.75, 9
27.86, 8

---

Diffraction record for Li2SmHg2. The powder X-ray diffraction pattern is theoretical, not measured: it uses a structure optimized by DFT (GGA-PBE) and Cu Kα (λ = 1.5418 Å).
Neutral-atom scattering factors, no anomalous dispersion.

a b c (Å): 8.578 4.953 5.611
angles (deg): 90.00 120.40 90.00
Fractional coordinates of all 10 atoms:
Li1 0.083 0.000 0.248
Li2 0.417 0.500 0.752
Li3 0.583 0.500 0.248
Li4 0.917 0.000 0.752
Sm1 0.000 0.500 0.500
Sm2 0.500 0.000 0.500
Hg1 0.223 0.500 0.167
Hg2 0.277 0.000 0.833
Hg3 0.723 0.000 0.167
Hg4 0.777 0.500 0.833

Principal peaks in the range 10 to 90 degrees two-theta, in order of falling intensity:
two_theta, I/Imax
36.28, 100
32.28, 59
21.61, 52
24.10, 43
37.44, 42
32.38, 29
37.33, 21
65.26, 18
49.41, 18
62.72, 18

---

Diffraction record for Li4SmHg2. The powder X-ray diffraction pattern is theoretical, not measured: it uses a structure optimized by DFT (GGA-PBE) and Cu Kα (λ = 1.5418 Å).
Neutral-atom scattering factors, no anomalous dispersion.

a b c (Å): 8.077 8.077 4.461
angles (deg): 90.00 90.00 90.00
Fractional coordinates of all 14 atoms:
Li1 0.095 0.349 0.000
Li2 0.151 0.595 0.500
Li3 0.349 0.095 0.000
Li4 0.405 0.849 0.500
Li5 0.595 0.151 0.500
Li6 0.651 0.905 0.000
Li7 0.849 0.405 0.500
Li8 0.905 0.651 0.000
Sm1 0.000 0.000 0.500
Sm2 0.500 0.500 0.000
Hg1 0.212 0.788 0.000
Hg2 0.288 0.288 0.500
Hg3 0.712 0.712 0.500
Hg4 0.788 0.212 0.000

Principal peaks in the range 10 to 90 degrees two-theta, in order of falling intensity:
two_theta, I/Imax
25.33, 100
31.88, 47
31.32, 47
40.70, 40
39.08, 40
15.52, 30
24.65, 24
65.68, 24
52.02, 23
22.01, 21

---

Diffraction record for Li6SmHg6. The powder X-ray diffraction pattern is theoretical, not measured: it uses a structure optimized by DFT (GGA-PBE) and Cu Kα (λ = 1.5418 Å).
Neutral-atom scattering factors, no anomalous dispersion.

a b c (Å): 7.401 7.401 7.401
angles (deg): 137.03 99.62 95.81
Fractional coordinates of all 13 atoms:
Li1 0.000 0.000 0.500
Li2 0.000 0.500 0.000
Li3 0.244 0.000 0.244
Li4 0.500 0.000 0.000
Li5 0.500 0.500 0.500
Li6 0.756 0.000 0.756
Sm1 0.000 0.500 0.500
Hg1 0.174 0.174 0.000
Hg2 0.335 0.500 0.835
Hg3 0.339 0.839 0.500
Hg4 0.661 0.161 0.500
Hg5 0.665 0.500 0.165
Hg6 0.826 0.826 0.000

Principal peaks in the range 10 to 90 degrees two-theta, in order of falling intensity:
two_theta, I/Imax
31.69, 100
18.58, 58
33.04, 45
36.98, 44
26.44, 32
37.44, 27
67.55, 24
38.17, 20
29.46, 18
58.17, 18